1.
This entry pairs a crystal structure of Li2LaSc2Pb2 with its calculated X-ray diffraction stick pattern. Radiation: copper Kα. Structure: a cell relaxed with GGA-PBE.
Peak positions follow from Bragg's law for the DFT cell and can differ from measured ones.

Most intense lines, 10 to 90 degrees two-theta, by intensity:
2θ (°)  intensity
25.4  100
34.9  78
37.5  75
22.5  49
32.2  30
52.2  25
66.0  25
21.7  22
57.1  22
45.8  22

Structural model:
```
7
Lattice="2.3983 1.3847 8.7185 -2.3983 1.3847 8.7185 0.0000 -2.7693 8.7185" Properties=species:S:1:pos:R:3 pbc="T T T"
Li 0.0000 0.0000 1.7416
Li 0.0000 0.0000 24.4140
La 0.0000 0.0000 13.0778
Sc 0.0000 0.0000 9.5403
Sc 0.0000 0.0000 16.6153
Pb 0.0000 0.0000 6.3912
Pb 0.0000 0.0000 19.7644
```

=====

2.
This entry pairs a crystal structure of Ni3Te8Rh with its calculated X-ray diffraction stick pattern. Radiation: copper Kα. Structure: a cell relaxed with GGA-PBE.
Peak positions follow from Bragg's law for the DFT cell and can differ from measured ones.

Most intense lines, 10 to 90 degrees two-theta, by intensity:
2θ (°)  intensity
31.2  100
46.2  46
31.3  37
43.3  28
56.8  16
58.9  15
43.3  14
16.7  13
76.1  13
33.8  11

Structural model:
```
12
Lattice="6.5851 0.0000 0.0000 -1.9201 6.3207 0.0000 -2.3291 -3.1528 6.8065" Properties=species:S:1:pos:R:3 pbc="T T T"
Ni 0.0000 0.0000 0.0000
Ni -1.1646 -1.5764 3.4033
Ni 2.3325 3.1603 0.0000
Te -1.0892 0.7692 4.5477
Te 0.1236 2.3459 1.0940
Te -0.1342 -2.3277 5.6662
Te 1.0603 -0.8100 2.2566
Te 1.2757 3.9779 4.5499
Te 2.4702 5.4955 1.1403
Te 2.2123 0.8220 5.7125
Te 3.4251 2.3987 2.2589
Rh 1.1680 1.5839 3.4033
```

=====

3.
This entry pairs a crystal structure of Cs3KAg with its calculated X-ray diffraction stick pattern. Radiation: copper Kα. Structure: a cell relaxed with GGA-PBE.
Peak positions follow from Bragg's law for the DFT cell and can differ from measured ones.

Most intense lines, 10 to 90 degrees two-theta, by intensity:
2θ (°)  intensity
20.7  100
21.7  37
21.9  33
23.0  20
27.1  20
14.0  17
23.3  16
31.3  15
29.5  15
28.5  15

Structural model:
```
20
Lattice="9.8567 0.0000 0.0000 0.0000 9.3000 0.0000 -1.1273 0.0000 17.2897" Properties=species:S:1:pos:R:3 pbc="T T T"
Cs 1.1521 1.9401 0.7623
Cs 0.5885 7.3598 9.4071
Cs 2.3494 0.6942 5.2580
Cs 1.7858 8.6058 13.9029
Cs 2.8853 2.7723 9.9326
Cs 3.4490 6.5277 1.2878
Cs 5.2804 2.7723 16.0019
Cs 5.8441 6.5277 7.3571
Cs 6.9436 0.6942 3.3868
Cs 6.3800 8.6058 12.0317
Cs 8.1409 1.9401 7.8826
Cs 7.5773 7.3598 16.5274
K 0.9550 3.9212 13.9281
K 1.5186 5.3788 5.2833
K 7.2108 3.9212 12.0064
K 7.7744 5.3788 3.3616
Ag -0.3318 1.3484 11.6104
Ag 0.2318 7.9516 2.9656
Ag 8.4976 1.3484 14.3241
Ag 9.0612 7.9516 5.6793
```

=====

4.
This entry pairs a crystal structure of Sr2Tl5Pd3 with its calculated X-ray diffraction stick pattern. Radiation: copper Kα. Structure: a cell relaxed with GGA-PBE.
Peak positions follow from Bragg's law for the DFT cell and can differ from measured ones.

Most intense lines, 10 to 90 degrees two-theta, by intensity:
2θ (°)  intensity
31.3  100
31.6  84
38.3  72
29.9  56
39.8  51
42.0  36
34.7  35
56.4  31
40.8  29
37.6  27

Structural model:
```
20
Lattice="2.3507 -13.9016 0.0000 2.3507 13.9016 0.0000 0.0000 0.0000 7.7976" Properties=species:S:1:pos:R:3 pbc="T T T"
Sr 2.3507 13.1947 3.8988
Sr 2.3507 4.8863 4.5136
Sr 2.3507 -4.8863 0.6148
Sr 2.3507 -13.1947 0.0000
Tl 2.3507 11.1992 6.8505
Tl 2.3507 8.1882 2.9765
Tl 2.3507 8.0896 6.1390
Tl 2.3507 3.4885 0.2835
Tl 2.3507 1.4425 5.2443
Tl 2.3507 -1.4425 1.3455
Tl 2.3507 -3.4885 4.1823
Tl 2.3507 -8.0896 2.2402
Tl 2.3507 -8.1882 6.8753
Tl 2.3507 -11.1992 2.9517
Pd 2.3507 10.8329 1.9499
Pd 2.3507 6.3629 0.7008
Pd 2.3507 1.2596 2.2595
Pd 2.3507 -1.2596 6.1583
Pd 2.3507 -6.3629 4.5996
Pd 2.3507 -10.8329 5.8487
```

=====

5.
This entry pairs a crystal structure of Tm2Fe17C3 with its calculated X-ray diffraction stick pattern. Radiation: copper Kα. Structure: a cell relaxed with GGA-PBE.
Peak positions follow from Bragg's law for the DFT cell and can differ from measured ones.

Most intense lines, 10 to 90 degrees two-theta, by intensity:
2θ (°)  intensity
42.4  100
42.1  74
29.9  47
36.3  41
43.4  34
62.1  32
37.6  31
61.3  22
43.3  21
77.0  16

Structural model:
```
22
Lattice="4.2903 2.4770 4.1689 -4.2903 2.4770 4.1689 0.0000 -4.9540 4.1689" Properties=species:S:1:pos:R:3 pbc="T T T"
Tm 0.0000 0.0000 1.9731
Tm 0.0000 0.0000 10.5335
Fe -2.1451 -1.2385 4.1689
Fe 0.0000 -2.4294 3.9917
Fe -2.1039 1.2147 3.9917
Fe -1.2174 -2.1085 6.2533
Fe -2.4347 0.0000 6.2533
Fe -2.1039 -1.2147 8.5148
Fe 0.0000 0.0000 5.0544
Fe -2.1451 1.2385 8.3377
Fe 1.2174 -2.1085 6.2533
Fe 0.0000 2.4770 4.1689
Fe -1.2174 2.1085 6.2533
Fe 0.0000 0.0000 7.4522
Fe 2.1039 1.2147 3.9917
Fe 2.4347 0.0000 6.2533
Fe 1.2174 2.1085 6.2533
Fe 2.1039 -1.2147 8.5148
Fe 0.0000 2.4294 8.5148
C -4.2903 0.0000 6.2533
C -2.1451 1.2385 2.0844
C 2.1451 1.2385 2.0844
```

=====

6.
This entry pairs a crystal structure of PaTa2S4 with its calculated X-ray diffraction stick pattern. Radiation: copper Kα. Structure: a cell relaxed with GGA-PBE.
Peak positions follow from Bragg's law for the DFT cell and can differ from measured ones.

Most intense lines, 10 to 90 degrees two-theta, by intensity:
2θ (°)  intensity
34.7  100
30.4  55
50.7  51
35.4  47
50.2  35
14.9  33
28.9  30
29.7  30
30.0  29
17.5  26

Structural model:
```
7
Lattice="6.2429 0.0000 0.0000 0.0000 3.6042 0.0000 -1.9058 0.0000 6.0173" Properties=species:S:1:pos:R:3 pbc="T T T"
Pa 0.0000 0.0000 0.0000
Ta -0.9529 1.8021 3.0087
Ta 2.1685 0.0000 3.0087
S 0.1914 0.0000 4.4438
S 1.2118 1.8021 1.5783
S 3.1252 1.8021 4.4391
S 4.1457 0.0000 1.5736
```

=====

7.
This entry pairs a crystal structure of Y3HoPb5 with its calculated X-ray diffraction stick pattern. Radiation: copper Kα. Structure: a cell relaxed with GGA-PBE.
Peak positions follow from Bragg's law for the DFT cell and can differ from measured ones.

Most intense lines, 10 to 90 degrees two-theta, by intensity:
2θ (°)  intensity
33.2  100
32.4  86
47.1  32
31.7  32
58.4  28
66.5  22
23.1  19
77.8  15
64.3  11
50.0  9

Structural model:
```
18
Lattice="9.5596 0.0000 0.0000 -4.7798 8.2789 0.0000 0.0000 0.0000 6.5330" Properties=species:S:1:pos:R:3 pbc="T T T"
Y -1.8239 3.1591 1.6333
Y -2.9559 5.1197 4.8998
Y 3.6478 0.0000 1.6333
Y 1.8239 3.1591 4.8998
Y 5.9118 0.0000 4.8998
Y 2.9559 5.1197 1.6333
Ho 0.0000 0.0000 0.0000
Ho 0.0000 0.0000 3.2665
Pb -1.3718 2.3761 4.8998
Pb -3.4080 5.9028 1.6333
Pb 2.7437 0.0000 4.8998
Pb 1.3718 2.3761 1.6333
Pb 0.0000 5.5193 0.0000
Pb 0.0000 5.5193 3.2665
Pb 4.7798 2.7596 0.0000
Pb 4.7798 2.7596 3.2665
Pb 6.8159 0.0000 1.6333
Pb 3.4080 5.9028 4.8998
```

=====

8.
This entry pairs a crystal structure of Li2Sn2Au3 with its calculated X-ray diffraction stick pattern. Radiation: copper Kα. Structure: a cell relaxed with GGA-PBE.
Peak positions follow from Bragg's law for the DFT cell and can differ from measured ones.

Most intense lines, 10 to 90 degrees two-theta, by intensity:
2θ (°)  intensity
23.2  100
41.9  81
39.6  79
24.1  76
40.0  72
40.4  62
40.2  36
60.0  29
66.6  29
33.0  18

Structural model:
```
14
Lattice="5.2614 0.0000 0.0000 0.0000 7.3845 0.0000 -0.8670 0.0000 7.1845" Properties=species:S:1:pos:R:3 pbc="T T T"
Li 0.3387 1.3817 0.0318
Li -0.0948 2.3105 3.6240
Li 4.4892 5.0739 3.5605
Li 4.0557 6.0028 7.1527
Sn 1.2159 4.7577 6.0328
Sn 1.6494 6.3191 2.4405
Sn 2.7450 1.0654 4.7440
Sn 3.1785 2.6268 1.1517
Au 0.4804 3.7543 1.3498
Au 0.0469 7.3224 4.9420
Au 2.6307 0.0000 0.0000
Au 2.1972 3.6922 3.5922
Au 4.3475 0.0621 2.2425
Au 3.9140 3.6302 5.8347
```

=====

9.
This entry pairs a crystal structure of PmMg10Hg2 with its calculated X-ray diffraction stick pattern. Radiation: copper Kα. Structure: a cell relaxed with GGA-PBE.
Peak positions follow from Bragg's law for the DFT cell and can differ from measured ones.

Most intense lines, 10 to 90 degrees two-theta, by intensity:
2θ (°)  intensity
12.5  100
34.7  56
28.2  32
35.8  30
41.2  25
17.7  24
32.2  22
39.2  18
25.2  18
25.0  17

Structural model:
```
13
Lattice="0.0000 7.0774 7.1163 3.0196 0.0000 7.1163 3.0196 7.0774 0.0000" Properties=species:S:1:pos:R:3 pbc="T T T"
Pm 0.0000 0.0000 0.0000
Mg 1.5098 0.0000 3.5582
Mg 3.0196 2.5093 4.6715
Mg 3.0196 5.5383 5.6217
Mg 3.0196 2.5093 9.5612
Mg 3.0196 5.5383 8.6109
Mg 1.5098 7.0774 3.5582
Mg 3.0196 8.6164 5.6217
Mg 3.0196 11.6454 4.6715
Mg 3.0196 8.6164 8.6109
Mg 3.0196 11.6454 9.5612
Hg 1.5098 3.5387 0.0000
Hg 1.5098 3.5387 7.1163
```